Starting from a PBE-relaxed structure, the powder diffraction line list of Zn4Ag was calculated for Cu Kα (λ = 1.5418 Å).
Intensities are scaled so that the largest is 100.

Main lines, by angle (2θ = 5–70°):
2θ/deg  d [Å]  intensity  index
15.63  5.668  3  0 0 1
38.06  2.365  100  1 1 1
40.55  2.225  42  2 0 -3
41.05  2.199  40  4 0 -1
44.19  2.050  65  3 1 -2
49.10  1.855  23  2 0 2
60.34  1.534  12  0 2 0
67.82  1.382  17  1 1 -4
68.08  1.377  8  6 0 -4
68.53  1.369  16  5 1 0

abc: 9.017 3.068 6.681
angles: 90.00 121.96 90.00
Space group C2/m (No. 12)
Symmetry-distinct sites (fractional):
Zn (0.102, 0.000, 0.406) [4 per cell]
Zn (0.196, 0.500, 0.794) [4 per cell]
Ag (0.000, 0.500, 0.000) [2 per cell]